# 1
The following is a calculated powder XRD pattern of NpMoO3. It was derived from DFT lattice parameters and positions (GGA+U), using λ = 1.5418 Å (Cu Kα).

Top 10 peaks for 10° ≤ 2θ ≤ 80°, by angle:
22.08°, I = 15
31.42°, I = 100
38.74°, I = 13
45.04°, I = 27
50.70°, I = 8
55.95°, I = 40
65.59°, I = 17
70.13°, I = 4
74.54°, I = 18
78.85°, I = 5

```
5
Lattice="4.0259 0.0000 0.0000 0.0000 4.0259 0.0000 0.0000 0.0000 4.0259" Properties=species:S:1:pos:R:3 pbc="T T T"
Np 0.0000 0.0000 0.0000
Mo 2.0129 2.0129 2.0129
O 0.0000 2.0129 2.0129
O 2.0129 0.0000 2.0129
O 2.0129 2.0129 0.0000
```


# 2
The following is a calculated powder XRD pattern of Mo4O5. It was derived from DFT lattice parameters and positions (GGA+U), using λ = 1.5418 Å (Cu Kα).

Top 10 peaks for 10° ≤ 2θ ≤ 80°, by angle:
13.92°, I = 30
14.75°, I = 66
22.63°, I = 28
28.49°, I = 25
35.96°, I = 100
41.31°, I = 78
42.64°, I = 33
59.85°, I = 23
60.87°, I = 41
71.84°, I = 28

```
36
Lattice="-3.0905 3.0905 12.7231 3.0905 -3.0905 12.7231 3.0905 3.0905 -12.7231" Properties=species:S:1:pos:R:3 pbc="T T T"
Mo 3.0905 -1.5127 6.3615
Mo 3.0905 -1.4225 10.6616
Mo 0.0000 1.5373 1.9193
Mo 3.0905 1.5127 6.3615
Mo 1.5779 3.0905 0.0000
Mo 1.5127 0.0000 12.7231
Mo 0.0000 1.6056 6.2391
Mo 3.0905 1.4225 10.6616
Mo 1.6681 3.0905 4.3000
Mo 1.4225 0.0000 17.0231
Mo -1.5373 3.0905 8.2808
Mo 1.5373 3.0905 8.2808
Mo 0.0000 4.6438 1.9193
Mo 0.0000 4.5755 6.2391
Mo -1.6056 3.0905 12.6007
Mo 1.6056 3.0905 12.6007
O 3.0905 1.4042 -4.4829
O 3.0905 -1.6246 8.5307
O 1.4042 0.0000 1.8787
O 4.7769 0.0000 1.8787
O 3.0905 1.5044 -0.0883
O 1.5862 3.0905 -6.4498
O 1.5044 0.0000 6.2733
O 1.4759 3.0905 -2.1002
O 1.6146 0.0000 10.6229
O 3.0905 1.6146 4.2614
O 0.0000 1.7390 4.0913
O 1.4659 3.0905 2.1691
O 1.6246 0.0000 14.8922
O 0.0000 1.6863 8.2402
O 3.0905 1.6246 8.5307
O 0.0000 1.5862 12.6348
O 0.0000 4.4421 4.0913
O 0.0000 1.4759 16.9845
O -1.7390 3.0905 10.4529
O 1.7390 3.0905 10.4529
```


# 3
The following is a calculated powder XRD pattern of MoO5. It was derived from DFT lattice parameters and positions (GGA+U), using λ = 1.5418 Å (Cu Kα).

Top 10 peaks for 10° ≤ 2θ ≤ 80°, by angle:
14.44°, I = 100
22.35°, I = 33
23.53°, I = 40
25.30°, I = 16
26.71°, I = 33
27.72°, I = 42
29.11°, I = 26
29.25°, I = 16
32.68°, I = 24
44.30°, I = 14

```
12
Lattice="3.9771 0.0000 0.0000 0.0000 6.1346 0.0000 -0.0136 0.0000 7.5617" Properties=species:S:1:pos:R:3 pbc="T T T"
Mo 0.3706 0.0000 1.8803
Mo 3.5929 0.0000 5.6814
O 0.0000 0.0000 0.0000
O -0.0068 0.0000 3.7808
O 0.0973 1.8807 1.9444
O 0.0973 4.2540 1.9444
O 1.8336 0.0000 5.6824
O 1.9886 3.0673 0.0000
O 1.9817 3.0673 3.7808
O 2.1299 0.0000 1.8793
O 3.8662 1.8807 5.6173
O 3.8662 4.2540 5.6173
```


# 4
The following is a calculated powder XRD pattern of Mo4O11. It was derived from DFT lattice parameters and positions (GGA+U), using λ = 1.5418 Å (Cu Kα).

Top 10 peaks for 10° ≤ 2θ ≤ 80°, by angle:
20.30°, I = 21
21.51°, I = 95
21.85°, I = 65
22.94°, I = 100
24.84°, I = 74
31.08°, I = 22
31.79°, I = 28
32.11°, I = 28
32.68°, I = 37
53.99°, I = 24

```
60
Lattice="25.0937 0.0000 0.0000 0.0000 5.6302 0.0000 0.0000 0.0000 6.9475" Properties=species:S:1:pos:R:3 pbc="T T T"
Mo 0.7340 1.4075 1.0700
Mo 2.1619 4.2226 3.3214
Mo 3.7040 1.4075 5.5652
Mo 5.1408 4.2226 0.9025
Mo 7.4061 1.4075 4.3762
Mo 8.8428 4.2226 2.0915
Mo 10.3849 1.4075 6.7951
Mo 11.8128 4.2226 4.5438
Mo 13.2809 1.4075 2.4037
Mo 14.7088 4.2226 0.1523
Mo 16.2509 1.4075 4.8560
Mo 17.6877 4.2226 2.5713
Mo 19.9529 1.4075 6.0450
Mo 21.3897 4.2226 1.3823
Mo 22.9318 1.4075 3.6261
Mo 24.3597 4.2226 5.8774
O 0.0000 0.0000 0.0000
O 0.0000 2.8151 0.0000
O 0.8422 4.2226 4.5549
O 1.6296 2.8498 2.2761
O 1.6296 5.5954 2.2761
O 2.3991 1.4075 6.7901
O 3.2047 0.0206 4.5499
O 3.2047 2.7945 4.5499
O 4.1062 4.2226 2.3717
O 4.7687 0.0364 6.8795
O 4.7687 2.7787 6.8795
O 5.6381 1.4075 4.7434
O 6.9088 4.2226 1.2697
O 7.7781 2.8515 3.4057
O 7.7781 5.5938 3.4057
O 8.4407 1.4075 5.8454
O 9.3421 2.8357 1.0761
O 9.3421 5.6096 1.0761
O 10.1478 4.2226 3.3163
O 10.9172 0.0347 5.7498
O 10.9172 2.7804 5.7498
O 11.7047 1.4075 1.0812
O 12.5469 0.0000 3.4737
O 12.5469 2.8151 3.4737
O 13.3890 4.2226 5.8663
O 14.1765 2.8498 1.1977
O 14.1765 5.5954 1.1977
O 14.9459 1.4075 3.6311
O 15.7516 0.0206 5.8713
O 15.7516 2.7945 5.8713
O 16.6530 4.2226 1.1021
O 17.3156 0.0364 3.5417
O 17.3156 2.7787 3.5417
O 18.1850 1.4075 5.6778
O 19.4556 4.2226 2.2041
O 20.3250 2.8515 0.0680
O 20.3250 5.5938 0.0680
O 20.9876 1.4075 4.5758
O 21.8890 2.8357 2.3976
O 21.8890 5.6096 2.3976
O 22.6946 4.2226 0.1574
O 23.4641 0.0347 4.6714
O 23.4641 2.7804 4.6714
O 24.2515 1.4075 2.3926
```


# 5
The following is a calculated powder XRD pattern of Mo3O8. It was derived from DFT lattice parameters and positions (GGA+U), using λ = 1.5418 Å (Cu Kα).

Top 10 peaks for 10° ≤ 2θ ≤ 80°, by angle:
17.70°, I = 38
18.30°, I = 100
20.64°, I = 21
34.15°, I = 45
35.84°, I = 14
41.99°, I = 52
46.15°, I = 14
56.09°, I = 16
60.03°, I = 16
63.32°, I = 18

```
11
Lattice="3.0821 1.7795 4.8487 -3.0821 1.7795 4.8487 0.0000 -3.5589 4.8487" Properties=species:S:1:pos:R:3 pbc="T T T"
Mo -1.5411 -0.8897 4.8487
Mo -1.5411 0.8897 9.6974
Mo 0.0000 1.7795 4.8487
O 0.0000 -1.5700 5.8327
O -1.3597 0.7850 5.8327
O 0.0000 0.0000 3.7510
O -1.3597 -0.7850 8.7134
O 1.3597 0.7850 5.8327
O 0.0000 0.0000 10.7951
O 1.3597 -0.7850 8.7134
O 0.0000 1.5700 8.7134
```


# 6
The following is a calculated powder XRD pattern of Mo2O3. It was derived from DFT lattice parameters and positions (GGA+U), using λ = 1.5418 Å (Cu Kα).

Top 10 peaks for 10° ≤ 2θ ≤ 80°, by angle:
10.91°, I = 91
17.24°, I = 38
28.91°, I = 39
30.48°, I = 31
32.14°, I = 100
32.99°, I = 46
37.39°, I = 41
38.65°, I = 35
40.67°, I = 35
55.60°, I = 28

```
20
Lattice="1.6437 -5.4234 0.0000 1.6437 5.4234 0.0000 0.0000 0.0000 16.2249" Properties=species:S:1:pos:R:3 pbc="T T T"
Mo 1.6437 4.3394 10.4417
Mo 1.6437 4.3394 13.8956
Mo 1.6437 1.4409 8.8480
Mo 1.6437 1.4409 15.4893
Mo 1.6437 -1.4409 0.7356
Mo 1.6437 -1.4409 7.3768
Mo 1.6437 -4.3394 2.3293
Mo 1.6437 -4.3394 5.7832
O 0.0000 0.0000 0.0000
O 0.0000 0.0000 8.1124
O 1.6437 3.4027 12.1686
O 1.6437 2.6148 1.1891
O 1.6437 2.6148 6.9233
O 1.6437 0.1894 10.5069
O 1.6437 0.1894 13.8304
O 1.6437 -0.1894 2.3944
O 1.6437 -0.1894 5.7180
O 1.6437 -2.6148 9.3015
O 1.6437 -2.6148 15.0357
O 1.6437 -3.4027 4.0562
```